(1)
Computed powder diffraction line list
Compound: HoTh3C2
Radiation: λ = 1.5418 Å (Cu Kα)
Structure: DFT lattice parameters and positions (PBE)

Principal peaks in the range 5° ≤ 2θ ≤ 70°, sorted by position:
2theta, I (rel.)
28.2, 46
29.9, 87
30.0, 43
34.2, 100
48.1, 34
50.2, 36
56.7, 18
58.6, 25
58.7, 13
59.6, 20

Structure:
abc: 8.4126 8.4126 12.5744
angles: 128.58 128.58 24.96
Atoms (fractional coordinates):
1 Ho 0.1397 0.1397 0.2003
2 Ho 0.8603 0.8603 0.7997
3 Th 0.1389 0.1389 0.6980
4 Th 0.3641 0.3641 0.5514
5 Th 0.3665 0.3665 0.0572
6 Th 0.6335 0.6335 0.9428
7 Th 0.6359 0.6359 0.4486
8 Th 0.8611 0.8611 0.3020
9 C 0.2440 0.2440 0.1201
10 C 0.2532 0.2532 0.6269
11 C 0.7468 0.7468 0.3731
12 C 0.7560 0.7560 0.8799

=====

(2)
Computed powder diffraction line list
Compound: BaPPdO4
Radiation: λ = 1.5418 Å (Cu Kα)
Structure: DFT lattice parameters and positions (PBE)

Principal peaks in the range 5° ≤ 2θ ≤ 70°, sorted by position:
2theta, I (rel.)
18.1, 58
21.0, 9
29.8, 100
35.1, 36
42.7, 11
46.7, 21
52.9, 37
56.4, 15
61.9, 15
65.1, 11

Structure:
abc: 5.9950 5.9950 5.9950
angles: 60.00 60.00 60.00
Atoms (fractional coordinates):
1 Ba 0.0000 0.0000 0.0000
2 P 0.5000 0.5000 0.5000
3 Pd 0.7500 0.7500 0.7500
4 O 0.1854 0.6049 0.6049
5 O 0.6049 0.1854 0.6049
6 O 0.6049 0.6049 0.1854
7 O 0.6049 0.6049 0.6049